Theoretical powder diffraction line list of InI4 for Cu Kα, 1.54184 Å, from a structure optimized by DFT (PBE).
Peak positions follow from Bragg's law for the DFT cell and can differ from measured ones.

The 6 most intense peaks (5 to 70 degrees two-theta), sorted by position:
d/Å  I_rel  hkl
10.000  49  2 0 0
7.071  47  2 2 0
5.774  28  2 2 2
3.381  100  5 3 1
3.333  54  6 0 0
1.865  17  9 5 3

a b c (Å): 20.000 20.000 20.000
angles (deg): 90.00 90.00 90.00
Space group Fm-3c (No. 226)
Inequivalent atoms, fractional coordinates:
1 In 0.000 0.000 0.250 x24
2 I 0.000 0.115 0.175 x96